# Zr6Al2FeH10
Computed powder XRD pattern, Cu Kα (λ = 1.5418 Å). Input: a PBE-relaxed structure.
Lines closer than 0.1° are merged.

The 12 most intense peaks (2θ from 5° to 70°), by angle:
- 12.6°, I 128, hkl 1 0 0
- 33.3°, I 1000, hkl 1 1 2
- 33.7°, I 610, hkl 2 1 0
- 35.8°, I 546, hkl 2 0 2
- 36.0°, I 211, hkl 2 1 1
- 38.4°, I 282, hkl 3 0 0
- 42.3°, I 197, hkl 2 1 2
- 51.0°, I 141, hkl 0 0 4
- 53.4°, I 103, hkl 3 1 2
- 58.4°, I 112, hkl 4 0 2
- 62.5°, I 193, hkl 2 1 4
- 63.2°, I 259, hkl 3 2 2

a = 8.1278 Å, b = 8.1278 Å, c = 7.1674 Å
α = 90.00°, β = 90.00°, γ = 120.00°
Space group P-62c (No. 190)
Asymmetric unit:
Zr (0.0000, 0.7409, 0.0000) x6
Zr (0.0488, 0.4263, 0.2500) x6
Al (0.3333, 0.6667, 0.5527) x4
Fe (0.0000, 0.0000, 0.2500) x2
H (0.0000, 0.0000, 0.0000) x2
H (0.0000, 0.2827, 0.0000) x6
H (0.1163, 0.2360, 0.7500) x6
H (0.1172, 0.7085, 0.2500) x6